Entry 1:
The following is a calculated powder XRD pattern of CsLaTe2O8. It was derived from the PBE geometry in Alexandria, using CuKα.

Unit cell a=6.1808 b=6.1808 c=8.8314 alpha=90.00 beta=90.00 gamma=120.00
Space group P-3 (No. 147)
Asymmetric unit:
Cs (0.0000, 0.0000, 0.0000) (multiplicity 1)
La (0.0000, 0.0000, 0.5000) (multiplicity 1)
Te (0.3333, 0.6667, 0.7438) (multiplicity 2)
O (0.1443, 0.3457, 0.6692) (multiplicity 6)
O (0.3333, 0.6667, 0.9500) (multiplicity 2)

Principal peaks in the range 2θ = 10–80°, low angle first:
d [Å]	Position (°2θ)	intensity
5.353	16.6	20
4.578	19.4	99
3.406	26.2	100
3.090	28.9	75
2.289	39.4	40
1.972	46.0	18
1.839	49.6	34
1.796	50.8	33


Entry 2:
The following is a calculated powder XRD pattern of PuPaOs. It was derived from the PBE geometry in Alexandria, using CuKα.

Unit cell a=3.5014 b=3.5014 c=9.9922 alpha=90.00 beta=90.00 gamma=90.00
Space group I4mm (No. 107)
Asymmetric unit:
Pu (0.0000, 0.0000, 0.0000) (multiplicity 2)
Pa (0.0000, 0.0000, 0.3246) (multiplicity 2)
Os (0.0000, 0.0000, 0.6698) (multiplicity 2)

Principal peaks in the range 2θ = 10–80°, low angle first:
d [Å]	Position (°2θ)	intensity
2.476	36.3	54
2.413	37.3	100
1.751	52.3	20
1.665	55.2	8
1.417	65.9	39
1.382	67.8	18
1.238	77.0	6
1.207	79.4	11


Entry 3:
The following is a calculated powder XRD pattern of KTlSnCl6. It was derived from the PBE geometry in Alexandria, using CuKα.

Unit cell a=7.5864 b=7.5864 c=12.2851 alpha=90.00 beta=90.00 gamma=120.00
Space group P-31c (No. 163)
Asymmetric unit:
K (0.3333, 0.6667, 0.2500) (multiplicity 2)
Tl (0.0000, 0.0000, 0.0000) (multiplicity 2)
Sn (0.3333, 0.6667, 0.7500) (multiplicity 2)
Cl (0.0661, 0.4001, 0.6330) (multiplicity 12)

Principal peaks in the range 2θ = 10–80°, low angle first:
d [Å]	Position (°2θ)	intensity
5.794	15.3	26
4.487	19.8	100
3.793	23.5	31
2.897	30.9	32
2.387	37.7	48
2.302	39.1	36
2.190	41.2	21
1.747	52.4	18


Entry 4:
The following is a calculated powder XRD pattern of CaIrRh. It was derived from the PBE geometry in Alexandria, using CuKα.

Unit cell a=5.2486 b=5.4094 c=7.6594 alpha=90.00 beta=90.00 gamma=90.00
Space group Imma (No. 74)
Asymmetric unit:
Ca (0.0000, 0.2500, 0.1233) (multiplicity 4)
Ir (0.2500, 0.2500, 0.7500) (multiplicity 4)
Rh (0.0000, 0.0000, 0.5000) (multiplicity 4)

Principal peaks in the range 2θ = 10–80°, low angle first:
d [Å]	Position (°2θ)	intensity
4.419	20.1	100
2.309	39.0	36
2.295	39.3	40
2.256	40.0	67
2.209	40.8	57
2.165	41.7	54
1.883	48.3	26
1.343	70.1	30


Entry 5:
The following is a calculated powder XRD pattern of Nd5Dy3Tm4. It was derived from the PBE geometry in Alexandria, using CuKα.

Unit cell a=9.7346 b=5.8100 c=14.9601 alpha=90.00 beta=108.80 gamma=90.00
Space group C2/m (No. 12)
Asymmetric unit:
Nd (0.0000, 0.0000, 0.0000) (multiplicity 2)
Nd (0.0463, 0.5000, 0.2468) (multiplicity 4)
Nd (0.1682, 0.5000, 0.4992) (multiplicity 4)
Dy (0.0000, 0.5000, 0.0000) (multiplicity 2)
Dy (0.2059, 0.0000, 0.2493) (multiplicity 4)
Tm (0.0609, 0.0000, 0.6237) (multiplicity 4)
Tm (0.1757, 0.0000, 0.8544) (multiplicity 4)

Principal peaks in the range 2θ = 10–80°, low angle first:
d [Å]	Position (°2θ)	intensity
3.143	28.4	40
2.905	30.8	69
2.863	31.2	75
2.819	31.7	100
2.662	33.7	53
2.039	44.4	57
1.660	55.3	21
1.512	61.3	16


Entry 6:
The following is a calculated powder XRD pattern of PtPb2W2. It was derived from the PBE geometry in Alexandria, using CuKα.

Unit cell a=3.5747 b=3.5747 c=17.6899 alpha=90.00 beta=90.00 gamma=90.00
Space group I4/mmm (No. 139)
Asymmetric unit:
Pt (0.0000, 0.0000, 0.0000) (multiplicity 2)
Pb (0.0000, 0.0000, 0.4021) (multiplicity 4)
W (0.0000, 0.5000, 0.2500) (multiplicity 4)

Principal peaks in the range 2θ = 10–80°, low angle first:
d [Å]	Position (°2θ)	intensity
3.057	29.2	36
2.948	30.3	24
2.515	35.7	83
2.430	37.0	100
2.195	41.1	38
1.787	51.1	39
1.457	63.9	32
1.449	64.3	40


Entry 7:
The following is a calculated powder XRD pattern of Y5C7. It was derived from the PBE geometry in Alexandria, using CuKα.

Unit cell a=7.5277 b=7.5277 c=6.4337 alpha=90.00 beta=90.00 gamma=90.00
Space group I4mm (No. 107)
Asymmetric unit:
Y (0.0000, 0.0000, 0.0000) (multiplicity 2)
Y (0.2066, 0.2066, 0.4312) (multiplicity 8)
C (0.0000, 0.0000, 0.6154) (multiplicity 2)
C (0.0000, 0.3193, 0.1256) (multiplicity 8)
C (0.0000, 0.5000, 0.1191) (multiplicity 4)

Principal peaks in the range 2θ = 10–80°, low angle first:
d [Å]	Position (°2θ)	intensity
3.764	23.6	43
3.217	27.7	68
2.983	30.0	71
2.661	33.7	72
2.445	36.8	75
2.338	38.5	100
2.051	44.2	56
1.366	68.7	37


Entry 8:
The following is a calculated powder XRD pattern of Ac2PaO5. It was derived from the PBE geometry in Alexandria, using CuKα.

Unit cell a=10.6456 b=7.3076 c=6.5476 alpha=90.00 beta=90.00 gamma=90.00
Space group Pnma (No. 62)
Asymmetric unit:
Ac (0.1718, 0.0021, 0.0223) (multiplicity 8)
Pa (0.0010, 0.2500, 0.5434) (multiplicity 4)
O (0.0054, 0.2500, 0.9312) (multiplicity 4)
O (0.0931, 0.5253, 0.6484) (multiplicity 8)
O (0.1792, 0.2500, 0.3389) (multiplicity 4)
O (0.2028, 0.7500, 0.3235) (multiplicity 4)

Principal peaks in the range 2θ = 10–80°, low angle first:
d [Å]	Position (°2θ)	intensity
3.274	27.2	52
3.120	28.6	100
3.056	29.2	77
3.012	29.7	47
2.217	40.7	42
1.859	49.0	20
1.771	51.6	27
1.576	58.6	28


Entry 9:
The following is a calculated powder XRD pattern of PrPaB12. It was derived from the PBE geometry in Alexandria, using CuKα.

Unit cell a=4.1039 b=4.1039 c=8.2263 alpha=90.00 beta=90.00 gamma=90.00
Space group P4/mmm (No. 123)
Asymmetric unit:
Pr (0.0000, 0.0000, 0.0000) (multiplicity 1)
Pa (0.0000, 0.0000, 0.5000) (multiplicity 1)
B (0.1980, 0.5000, 0.2525) (multiplicity 8)
B (0.5000, 0.5000, 0.1003) (multiplicity 2)
B (0.5000, 0.5000, 0.4021) (multiplicity 2)

Principal peaks in the range 2θ = 10–80°, low angle first:
d [Å]	Position (°2θ)	intensity
4.107	21.6	75
2.904	30.8	100
2.371	37.9	42
2.052	44.1	14
1.837	49.6	51
1.677	54.7	30
1.369	68.5	18
1.298	72.9	13


Entry 10:
The following is a calculated powder XRD pattern of Be2H6Ru. It was derived from the PBE geometry in Alexandria, using CuKα.

Unit cell a=4.0527 b=4.4217 c=7.3782 alpha=90.00 beta=119.14 gamma=90.00
Space group P2_1/c (No. 14)
Asymmetric unit:
Be (0.1734, 0.0012, 0.2482) (multiplicity 4)
H (0.1644, 0.7295, 0.9192) (multiplicity 4)
H (0.1656, 0.2288, 0.4208) (multiplicity 4)
H (0.4769, 0.0037, 0.7659) (multiplicity 4)
Ru (0.5000, 0.0000, 0.0000) (multiplicity 2)

Principal peaks in the range 2θ = 10–80°, low angle first:
d [Å]	Position (°2θ)	intensity
3.646	24.4	100
3.540	25.2	41
3.320	26.9	44
3.222	27.7	28
2.983	29.9	48
2.249	40.1	32
2.134	42.4	27
1.841	49.5	22


Entry 11:
The following is a calculated powder XRD pattern of Ac2Tb4Er7. It was derived from the PBE geometry in Alexandria, using CuKα.

Unit cell a=6.1418 b=6.1418 c=13.4329 alpha=90.00 beta=90.00 gamma=120.00
Space group P-31m (No. 162)
Asymmetric unit:
Ac (0.3333, 0.6667, 0.0000) (multiplicity 2)
Tb (0.0000, 0.0000, 0.3959) (multiplicity 2)
Tb (0.3333, 0.6667, 0.5000) (multiplicity 2)
Er (0.0000, 0.0000, 0.0000) (multiplicity 1)
Er (0.0000, 0.3502, 0.7811) (multiplicity 6)

Principal peaks in the range 2θ = 10–80°, low angle first:
d [Å]	Position (°2θ)	intensity
3.358	26.5	22
3.071	29.1	16
2.994	29.8	38
2.793	32.0	100
2.533	35.4	33
1.809	50.4	18
1.773	51.5	29
1.497	62.0	18


Entry 12:
The following is a calculated powder XRD pattern of Be2V2Fe. It was derived from the PBE geometry in Alexandria, using CuKα.

Unit cell a=5.8509 b=5.8509 c=3.0442 alpha=90.00 beta=90.00 gamma=90.00
Space group P4/mbm (No. 127)
Asymmetric unit:
Be (0.1251, 0.3749, 0.0000) (multiplicity 4)
V (0.1734, 0.6734, 0.5000) (multiplicity 4)
Fe (0.0000, 0.0000, 0.0000) (multiplicity 2)

Principal peaks in the range 2θ = 10–80°, low angle first:
d [Å]	Position (°2θ)	intensity
4.137	21.5	22
2.617	34.3	59
2.452	36.7	66
2.109	42.9	100
2.069	43.8	29
1.984	45.7	79
1.850	49.2	59
1.256	75.7	27